Calculated PXRD pattern
Compound: Re6Se7Br4
Radiation: CuKα
Structure: a DFT-relaxed cell (PBE, the Materials Project)

The 6 most intense peaks (10 to 90 degrees two-theta), sorted by position:
| 2θ (°) | d_spacing | Rel. int. |
| --- | --- | --- |
| 11.61 | 7.623 | 100 |
| 15.01 | 5.901 | 22 |
| 40.48 | 2.228 | 8 |
| 42.48 | 2.128 | 7 |
| 44.20 | 2.049 | 19 |
| 47.97 | 1.897 | 10 |

Cell and atoms:
Cell: 9.9864 9.9864 32.2858 Å, 90.00 90.00 120.00°
Space group R3c (No. 161, hexagonal axes)
Symmetry-distinct sites (fractional):
1 Re 0.0140 0.1594 0.0000 x18
2 Re 0.1603 0.0142 0.5671 x18
3 Se 0.0000 0.0000 0.4370 x6
4 Se 0.0254 0.3861 0.7317 x18
5 Se 0.0530 0.3597 0.1697 x18
6 Br 0.0000 0.0000 0.1340 x6
7 Br 0.0013 0.2773 0.2839 x18